This entry pairs a crystal structure of LaThH4 with its calculated powder diffractogram. Radiation: Cu Kα (weighted mean of Kα1 and Kα2). Structure: a cell relaxed with GGA-PBE.
Lines closer than 0.1° are merged.

Structure:
```
data_LaThH4
_chemical_formula_sum 'La2 Th2 H8'
_space_group_name_H-M_alt 'P 1'
_space_group_IT_number 1
_cell_length_a 6.789
_cell_length_b 6.789
_cell_length_c 6.789
_cell_angle_alpha 131.97
_cell_angle_beta 131.97
_cell_angle_gamma 70.27
loop_
_space_group_symop_operation_xyz
'x,y,z'
loop_
_atom_site_label
_atom_site_type_symbol
_atom_site_fract_x
_atom_site_fract_y
_atom_site_fract_z
La1 La 0.375 0.625 0.750
La2 La 0.625 0.375 0.250
Th1 Th 0.125 0.875 0.250
Th2 Th 0.875 0.125 0.750
H1 H 0.000 0.237 0.237
H2 H 0.000 0.763 0.763
H3 H 0.237 0.000 0.737
H4 H 0.237 0.500 0.237
H5 H 0.500 0.237 0.737
H6 H 0.500 0.763 0.263
H7 H 0.763 0.000 0.263
H8 H 0.763 0.500 0.763
```

Largest 10 diffraction maxima, sorted by position, 2θ = 5–70°:
17.9 deg, I 7.7; 27.9 deg, I 100.0; 32.2 deg, I 16.7; 32.4 deg, I 33.0; 46.4 deg, I 26.2; 46.5 deg, I 13.0; 54.9 deg, I 15.6; 55.1 deg, I 30.9; 57.7 deg, I 13.2; 67.8 deg, I 4.2